[1]
Zr3Tl4CuS8: simulated XRD peak list (Cu Ka), based on a crystal structure in Alexandria, relaxed with PBE.

```
data_Zr3Tl4CuS8
_chemical_formula_sum 'Zr6 Tl8 Cu2 S16'
_space_group_name_H-M_alt 'C 1 2/m 1'
_space_group_IT_number 12
_space_group_name_Hall '-C 2y'
_cell_length_a 12.948
_cell_length_b 7.461
_cell_length_c 8.867
_cell_angle_alpha 90.00
_cell_angle_beta 119.24
_cell_angle_gamma 90.00
loop_
_atom_site_label
_atom_site_type_symbol
_atom_site_fract_x
_atom_site_fract_y
_atom_site_fract_z
_atom_site_occupancy
Zr1 Zr 0.000 0.000 0.000 1
Zr2 Zr 0.250 0.250 0.000 1
Tl1 Tl 0.000 0.000 0.500 1
Tl2 Tl 0.000 0.500 0.500 1
Tl3 Tl 0.250 0.250 0.500 1
Cu1 Cu 0.000 0.500 0.000 1
S1 S 0.021 0.251 0.815 1
S2 S 0.228 0.500 0.185 1
S3 S 0.230 0.000 0.192 1
```

Largest 6 diffraction maxima, most intense first, 10° ≤ 2θ ≤ 80°:
31.68 deg, I = 100
28.66 deg, I = 53
22.99 deg, I = 35
41.86 deg, I = 27
48.75 deg, I = 21
48.26 deg, I = 19

[2]
HoBeCoB2: simulated XRD peak list (Cu Ka), based on a crystal structure in Alexandria, relaxed with PBE.

```
data_HoBeCoB2
_chemical_formula_sum 'Ho2 Be2 Co2 B4'
_space_group_name_H-M_alt 'I -4 m 2'
_space_group_IT_number 119
_space_group_name_Hall 'I -4 -2'
_cell_length_a 3.432
_cell_length_b 3.432
_cell_length_c 9.429
_cell_angle_alpha 90.00
_cell_angle_beta 90.00
_cell_angle_gamma 90.00
loop_
_atom_site_label
_atom_site_type_symbol
_atom_site_fract_x
_atom_site_fract_y
_atom_site_fract_z
_atom_site_occupancy
Ho1 Ho 0.000 0.000 0.000 1
Be1 Be 0.000 0.500 0.750 1
Co1 Co 0.000 0.500 0.250 1
B1 B 0.000 0.000 0.364 1
```

Largest 6 diffraction maxima, most intense first, 10° ≤ 2θ ≤ 80°:
27.66 deg, I = 100
41.87 deg, I = 66
38.85 deg, I = 53
61.18 deg, I = 22
67.97 deg, I = 20
38.18 deg, I = 19

[3]
Dy2Mg2Cu15: simulated XRD peak list (Cu Ka), based on a crystal structure in Alexandria, relaxed with PBE.

```
data_Dy2Mg2Cu15
_chemical_formula_sum 'Dy6 Mg6 Cu45'
_space_group_name_H-M_alt 'R -3 m'
_space_group_IT_number 166
_space_group_name_Hall '-R 3 2"'
_cell_length_a 8.6440
_cell_length_b 8.6440
_cell_length_c 12.7602
_cell_angle_alpha 90.00
_cell_angle_beta 90.00
_cell_angle_gamma 120.00
loop_
_atom_site_label
_atom_site_type_symbol
_atom_site_fract_x
_atom_site_fract_y
_atom_site_fract_z
_atom_site_occupancy
Dy1 Dy 0.0000 0.0000 0.1467 1
Mg1 Mg 0.0000 0.0000 0.3947 1
Cu1 Cu 0.0000 0.3012 0.5000 1
Cu2 Cu 0.0000 0.5000 0.0000 1
Cu3 Cu 0.0048 0.5024 0.6536 1
```

Largest 6 diffraction maxima, most intense first, 10° ≤ 2θ ≤ 80°:
41.98 deg, I = 100
41.80 deg, I = 46
42.51 deg, I = 32
35.99 deg, I = 30
29.46 deg, I = 29
37.03 deg, I = 26

[4]
SrMg5Ge2: simulated XRD peak list (Cu Ka), based on a crystal structure in Alexandria, relaxed with PBE.

```
data_SrMg5Ge2
_chemical_formula_sum 'Sr2 Mg10 Ge4'
_space_group_name_H-M_alt 'I m m m'
_space_group_IT_number 71
_space_group_name_Hall '-I 2 2'
_cell_length_a 4.355
_cell_length_b 8.168
_cell_length_c 10.683
_cell_angle_alpha 90.00
_cell_angle_beta 90.00
_cell_angle_gamma 90.00
loop_
_atom_site_label
_atom_site_type_symbol
_atom_site_fract_x
_atom_site_fract_y
_atom_site_fract_z
_atom_site_occupancy
Sr1 Sr 0.000 0.000 0.000 1
Mg1 Mg 0.000 0.185 0.350 1
Mg2 Mg 0.000 0.500 0.000 1
Ge1 Ge 0.000 0.500 0.258 1
```

Largest 6 diffraction maxima, most intense first, 10° ≤ 2θ ≤ 80°:
28.61 deg, I = 100
32.48 deg, I = 50
40.35 deg, I = 50
42.66 deg, I = 50
21.76 deg, I = 47
31.17 deg, I = 44

[5]
SmURh: simulated XRD peak list (Cu Ka), based on a crystal structure in Alexandria, relaxed with PBE.

```
data_SmURh
_chemical_formula_sum 'Sm16 U16 Rh16'
_space_group_name_H-M_alt 'F d d d'
_space_group_IT_number 70
_cell_length_a 6.385
_cell_length_b 9.480
_cell_length_c 18.133
_cell_angle_alpha 90.00
_cell_angle_beta 90.00
_cell_angle_gamma 90.00
loop_
_space_group_symop_operation_xyz
'x,y,z'
'-x,-y,-z'
'-x+1/4,-y+1/4,z'
'x+1/4,y+1/4,-z'
'x,-y+1/4,-z+1/4'
'-x,y+1/4,z+1/4'
'-x+1/4,y,-z+1/4'
'x+1/4,-y,z+1/4'
'x,y+1/2,z+1/2'
'-x,-y+1/2,-z+1/2'
'-x+1/4,-y+3/4,z+1/2'
'x+1/4,y+3/4,-z+1/2'
'x,-y+3/4,-z+3/4'
'-x,y+3/4,z+3/4'
'-x+1/4,y+1/2,-z+3/4'
'x+1/4,-y+1/2,z+3/4'
'x+1/2,y,z+1/2'
'-x+1/2,-y,-z+1/2'
'-x+3/4,-y+1/4,z+1/2'
'x+3/4,y+1/4,-z+1/2'
'x+1/2,-y+1/4,-z+3/4'
'-x+1/2,y+1/4,z+3/4'
'-x+3/4,y,-z+3/4'
'x+3/4,-y,z+3/4'
'x+1/2,y+1/2,z'
'-x+1/2,-y+1/2,-z'
'-x+3/4,-y+3/4,z'
'x+3/4,y+3/4,-z'
'x+1/2,-y+3/4,-z+1/4'
'-x+1/2,y+3/4,z+1/4'
'-x+3/4,y+1/2,-z+1/4'
'x+3/4,-y+1/2,z+1/4'
loop_
_atom_site_label
_atom_site_type_symbol
_atom_site_fract_x
_atom_site_fract_y
_atom_site_fract_z
_atom_site_occupancy
Sm1 Sm 0.125 0.125 0.037 1
U1 U 0.125 0.125 0.530 1
Rh1 Rh 0.125 0.334 0.625 1
```

Largest 6 diffraction maxima, most intense first, 10° ≤ 2θ ≤ 80°:
35.22 deg, I = 100
39.41 deg, I = 89
29.67 deg, I = 52
33.85 deg, I = 45
37.97 deg, I = 38
69.50 deg, I = 38

[6]
Pa3Zn4Au4: simulated XRD peak list (Cu Ka), based on a crystal structure in Alexandria, relaxed with PBE.

```
data_Pa3Zn4Au4
_chemical_formula_sum 'Pa3 Zn4 Au4'
_space_group_name_H-M_alt 'P -1'
_space_group_IT_number 2
_space_group_name_Hall '-P 1'
_cell_length_a 3.200
_cell_length_b 4.649
_cell_length_c 14.823
_cell_angle_alpha 81.03
_cell_angle_beta 83.80
_cell_angle_gamma 90.00
loop_
_atom_site_label
_atom_site_type_symbol
_atom_site_fract_x
_atom_site_fract_y
_atom_site_fract_z
_atom_site_occupancy
Pa1 Pa 0.000 0.000 0.000 1
Pa2 Pa 0.142 0.641 0.717 1
Zn1 Zn 0.262 0.263 0.476 1
Zn2 Zn 0.405 0.907 0.188 1
Au1 Au 0.313 0.814 0.373 1
Au2 Au 0.451 0.451 0.098 1
```

Largest 6 diffraction maxima, most intense first, 10° ≤ 2θ ≤ 80°:
39.17 deg, I = 100
36.24 deg, I = 93
35.39 deg, I = 67
38.73 deg, I = 58
34.58 deg, I = 53
53.47 deg, I = 42